Starting from a crystal structure in Alexandria, relaxed with PBE, the powder XRD pattern of PmYGePt was calculated for Cu Kα, 1.54184 Å.
Peak positions follow from Bragg's law for the DFT cell and can differ from measured ones.

Principal peaks in the range 2θ = 10–90°, sorted by position:
d [Å]  Rel. int.  h k l
2.835  100  1 1 1
2.756  31  0 0 4
2.711  27  0 1 3
2.320  32  1 0 4
2.293  79  1 1 3
2.149  28  2 0 0
2.007  23  0 2 0
1.466  31  2 2 0

Crystal structure
abc: 4.297 4.014 11.026
angles: 90.00 90.00 90.00
Space group Amm2 (No. 38)
Inequivalent atoms, fractional coordinates:
Pm  0.000  0.000  0.000
Y  0.500  0.000  0.278
Ge  0.500  0.000  0.564
Pt  0.000  0.000  0.726

Starting from a crystal structure in Alexandria, relaxed with PBE, the powder XRD pattern of K5Au was calculated for Cu Kα, 1.54184 Å.
Peak positions follow from Bragg's law for the DFT cell and can differ from measured ones.

Principal peaks in the range 2θ = 10–90°, sorted by position:
d [Å]  Rel. int.  h k l
7.960  100  1 0 1
6.194  32  2 0 0
4.300  26  1 1 1
3.942  24  2 1 0
3.495  47  1 1 2
3.140  35  2 1 2
3.068  41  3 1 1
2.602  19  2 1 3

Crystal structure
abc: 12.388 5.110 10.389
angles: 90.00 90.00 90.00
Space group Pmma (No. 51)
Inequivalent atoms, fractional coordinates:
K  0.000  0.000  0.000
K  0.081  0.500  0.308
K  0.250  0.000  0.584
K  0.250  0.500  0.953
Au  0.250  0.000  0.187

Starting from a crystal structure in Alexandria, relaxed with PBE, the powder XRD pattern of Nd2PuTh was calculated for Cu Kα, 1.54184 Å.
Peak positions follow from Bragg's law for the DFT cell and can differ from measured ones.

Principal peaks in the range 2θ = 10–90°, sorted by position:
d [Å]  Rel. int.  h k l
3.095  54  0 0 12
3.051  20  1 0 1
3.020  100  0 1 2
2.907  20  1 0 4
2.555  29  0 1 8
2.362  71  1 0 10
1.767  37  1 1 0
1.535  42  1 1 12

Crystal structure
abc: 3.5344 3.5344 37.1385
angles: 90.00 90.00 120.00
Space group R-3m (No. 166, hexagonal axes)
Inequivalent atoms, fractional coordinates:
Nd  0.0000  0.0000  0.0894
Pu  0.0000  0.0000  0.0000
Th  0.0000  0.0000  0.5000

Starting from a crystal structure in Alexandria, relaxed with PBE, the powder XRD pattern of ThMgZn4 was calculated for Cu Kα, 1.54184 Å.
Peak positions follow from Bragg's law for the DFT cell and can differ from measured ones.

Principal peaks in the range 2θ = 10–90°, sorted by position:
d [Å]  Rel. int.  h k l
7.050  54  0 0 2
4.075  35  1 0 1
3.155  52  1 0 3
2.768  100  1 1 2
2.351  68  1 0 5
2.128  46  2 0 0
1.821  28  1 0 7
1.578  42  2 1 5

Crystal structure
abc: 4.256 4.256 14.100
angles: 90.00 90.00 90.00
Space group I-4m2 (No. 119)
Inequivalent atoms, fractional coordinates:
Th  0.000  0.000  0.000
Mg  0.000  0.500  0.250
Zn  0.000  0.000  0.413
Zn  0.000  0.500  0.666

Starting from a crystal structure in Alexandria, relaxed with PBE, the powder XRD pattern of LiLa2Gd was calculated for Cu Kα, 1.54184 Å.
Peak positions follow from Bragg's law for the DFT cell and can differ from measured ones.

Principal peaks in the range 2θ = 10–90°, sorted by position:
d [Å]  Rel. int.  h k l
4.638  27  1 1 1
4.016  8  2 0 0
2.840  100  2 2 0
2.422  15  3 1 1
2.008  18  4 0 0
1.640  39  4 2 2
1.420  12  4 4 0
1.270  16  6 2 0

Crystal structure
abc: 8.032 8.032 8.032
angles: 90.00 90.00 90.00
Space group Fm-3m (No. 225)
Inequivalent atoms, fractional coordinates:
Li  0.000  0.000  0.000
La  0.250  0.250  0.250
Gd  0.000  0.000  0.500

Starting from a crystal structure in Alexandria, relaxed with PBE, the powder XRD pattern of KBi4Pb4 was calculated for Cu Kα, 1.54184 Å.
Peak positions follow from Bragg's law for the DFT cell and can differ from measured ones.

Principal peaks in the range 2θ = 10–90°, sorted by position:
d [Å]  Rel. int.  h k l
7.886  100  1 1 0
3.527  47  3 1 0
3.008  45  0 0 2
2.811  19  1 1 2
2.751  76  3 2 1
2.467  66  1 4 1
2.289  30  3 1 2
1.485  26  7 2 1

Crystal structure
abc: 11.152 11.152 6.017
angles: 90.00 90.00 90.00
Space group I4/m (No. 87)
Inequivalent atoms, fractional coordinates:
K  0.000  0.000  0.000
Bi  0.170  0.691  0.000
Pb  0.098  0.620  0.500

Starting from a crystal structure in Alexandria, relaxed with PBE, the powder XRD pattern of Dy4YCu4 was calculated for Cu Kα, 1.54184 Å.
Peak positions follow from Bragg's law for the DFT cell and can differ from measured ones.

Principal peaks in the range 2θ = 10–90°, sorted by position:
d [Å]  Rel. int.  h k l
3.233  59  2 1 1
2.766  51  1 0 2
2.747  100  1 3 0
2.333  32  1 2 2
2.055  20  3 0 2
1.942  33  4 2 0
1.857  32  3 2 2
1.665  23  5 0 1

Crystal structure
abc: 8.686 8.686 5.835
angles: 90.00 90.00 90.00
Space group P4_2/n (No. 86, origin choice 2)
Inequivalent atoms, fractional coordinates:
Dy  0.059  0.662  0.151
Y  0.250  0.250  0.250
Cu  0.024  0.618  0.629

Please write out number 7 again, unchanged.
Starting from a crystal structure in Alexandria, relaxed with PBE, the powder XRD pattern of Dy4YCu4 was calculated for Cu Kα, 1.54184 Å.
Peak positions follow from Bragg's law for the DFT cell and can differ from measured ones.

Principal peaks in the range 2θ = 10–90°, sorted by position:
d [Å]  Rel. int.  h k l
3.233  59  2 1 1
2.766  51  1 0 2
2.747  100  1 3 0
2.333  32  1 2 2
2.055  20  3 0 2
1.942  33  4 2 0
1.857  32  3 2 2
1.665  23  5 0 1

Crystal structure
abc: 8.686 8.686 5.835
angles: 90.00 90.00 90.00
Space group P4_2/n (No. 86, origin choice 2)
Inequivalent atoms, fractional coordinates:
Dy  0.059  0.662  0.151
Y  0.250  0.250  0.250
Cu  0.024  0.618  0.629